Structure and theoretical XRD peak list of U2BiN2 (a DFT-relaxed cell (GGA-PBE, the Materials Project); Cu Kα).

Atomic structure:
```
data_U2BiN2
_chemical_formula_sum 'U4 Bi2 N4'
_symmetry_space_group_name_H-M 'I 4/m m m'
_symmetry_Int_Tables_number 139
_symmetry_space_group_name_Hall '-I 4 2'
_cell_length_a 3.8997
_cell_length_b 3.8997
_cell_length_c 12.5955
_cell_angle_alpha 90.00
_cell_angle_beta 90.00
_cell_angle_gamma 90.00
loop_
_atom_site_label
_atom_site_fract_x
_atom_site_fract_y
_atom_site_fract_z
U1 0.0000 0.0000 0.1601
Bi1 0.0000 0.0000 0.5000
N1 0.0000 0.5000 0.2500
```

Principal peaks in the range 2θ from 10° to 90°, by intensity:
- 31.3°, I 100
- 32.5°, I 42
- 57.2°, I 38
- 55.0°, I 22
- 46.6°, I 19
- 65.3°, I 12
- 89.9°, I 11
- 43.1°, I 10
- 71.6°, I 9
- 76.8°, I 8
- 77.4°, I 8
- 84.0°, I 6

***

Structure and theoretical XRD peak list of U2BiN2 (a DFT-relaxed cell (GGA-PBE, the Materials Project); Cu Kα).

Atomic structure:
```
data_U2BiN2
_chemical_formula_sum 'U4 Bi2 N4'
_symmetry_space_group_name_H-M 'I 4/m m m'
_symmetry_Int_Tables_number 139
_symmetry_space_group_name_Hall '-I 4 2'
_cell_length_a 4.5727
_cell_length_b 4.5727
_cell_length_c 10.4433
_cell_angle_alpha 90.00
_cell_angle_beta 90.00
_cell_angle_gamma 90.00
loop_
_atom_site_label
_atom_site_fract_x
_atom_site_fract_y
_atom_site_fract_z
U1 0.0000 0.5000 0.2500
Bi1 0.0000 0.0000 0.0000
N1 0.0000 0.0000 0.2756
```

Principal peaks in the range 2θ from 10° to 90°, by intensity:
- 32.6°, I 100
- 39.4°, I 35
- 53.3°, I 29
- 21.2°, I 29
- 67.2°, I 27
- 34.3°, I 25
- 17.0°, I 23
- 60.4°, I 19
- 87.8°, I 15
- 68.2°, I 14
- 57.0°, I 12
- 32.3°, I 12

***

Structure and theoretical XRD peak list of Zn2BiN3 (a DFT-relaxed cell (GGA-PBE, the Materials Project); Cu Kα).

Atomic structure:
```
data_Zn2BiN3
_chemical_formula_sum 'Zn8 Bi4 N12'
_symmetry_space_group_name_H-M 'C m c 21'
_symmetry_Int_Tables_number 36
_cell_length_a 10.3419
_cell_length_b 5.9204
_cell_length_c 5.6007
_cell_angle_alpha 90.00
_cell_angle_beta 90.00
_cell_angle_gamma 90.00
loop_
_symmetry_equiv_pos_as_xyz
'x,y,z'
'-x,-y,z+1/2'
'-x,y,z'
'x,-y,z+1/2'
'x+1/2,y+1/2,z'
'-x+1/2,-y+1/2,z+1/2'
'-x+1/2,y+1/2,z'
'x+1/2,-y+1/2,z+1/2'
loop_
_atom_site_label
_atom_site_fract_x
_atom_site_fract_y
_atom_site_fract_z
Zn1 0.1737 0.1656 0.0000
Bi1 0.0000 0.3139 0.4908
N1 0.0000 0.3250 0.8865
N2 0.1735 0.1570 0.3673
```

Principal peaks in the range 2θ from 10° to 90°, by intensity:
- 34.1°, I 100
- 23.5°, I 51
- 32.0°, I 45
- 34.3°, I 37
- 58.3°, I 28
- 30.0°, I 26
- 53.5°, I 22
- 30.2°, I 22
- 17.1°, I 22
- 63.7°, I 22
- 44.4°, I 14
- 44.5°, I 13

***

- Number 2 is which compound?
  U2BiN2